Entry 1:
The following is a calculated X-ray powder pattern of Ba8Pd3Pt. It was derived from DFT lattice parameters and positions (GGA-PBE), using Cu Kα.
Neutral-atom scattering factors, no anomalous dispersion.

Largest 12 diffraction maxima, in order of falling intensity, 2θ = 10–90°:
- d = 3.268 Å, I = 100, hkl 4 0 0
- d = 2.328 Å, I = 40, hkl 2 2 2
- d = 7.434 Å, I = 39, hkl 2 0 -1
- d = 2.293 Å, I = 36, hkl 6 2 -2
- d = 1.896 Å, I = 21, hkl 4 4 0
- d = 1.470 Å, I = 18, hkl 6 2 2
- d = 3.793 Å, I = 17, hkl 2 2 0
- d = 3.969 Å, I = 15, hkl 2 0 1
- d = 2.500 Å, I = 13, hkl 4 2 -3
- d = 1.634 Å, I = 12, hkl 8 0 0
- d = 1.453 Å, I = 10, hkl 8 4 -4
- d = 1.337 Å, I = 8, hkl 8 4 0

Cell and atoms:
a b c (Å): 15.8010 9.3078 9.1857
angles (deg): 90.00 124.23 90.00
Space group C2/m (No. 12)
Inequivalent atoms, fractional coordinates:
Ba 0.0054 0.2470 0.2414 (multiplicity 8)
Ba 0.2416 0.0000 0.2527 (multiplicity 4)
Ba 0.2435 0.5000 0.2567 (multiplicity 4)
Pd 0.0000 0.5000 0.0000 (multiplicity 2)
Pd 0.2500 0.2500 0.5000 (multiplicity 4)
Pt 0.0000 0.0000 0.0000 (multiplicity 2)

=====

Entry 2:
The following is a calculated X-ray powder pattern of Ba8Pd3Rh. It was derived from DFT lattice parameters and positions (GGA-PBE), using Cu Kα.
Neutral-atom scattering factors, no anomalous dispersion.

Largest 12 diffraction maxima, in order of falling intensity, 2θ = 10–90°:
- d = 3.227 Å, I = 100, hkl 2 0 2
- d = 2.303 Å, I = 75, hkl 2 4 2
- d = 3.287 Å, I = 51, hkl 0 4 0
- d = 7.479 Å, I = 29, hkl 1 1 0
- d = 1.448 Å, I = 25, hkl 2 0 6
- d = 3.758 Å, I = 25, hkl 0 2 2
- d = 3.739 Å, I = 24, hkl 2 2 0
- d = 5.794 Å, I = 22, hkl 1 1 1
- d = 1.879 Å, I = 20, hkl 0 4 4
- d = 1.870 Å, I = 19, hkl 4 4 0
- d = 2.291 Å, I = 19, hkl 0 0 4
- d = 2.273 Å, I = 18, hkl 4 0 0

Cell and atoms:
a b c (Å): 9.0939 13.1460 9.1622
angles (deg): 90.00 90.00 90.00
Space group C222 (No. 21)
Inequivalent atoms, fractional coordinates:
Ba 0.0000 0.2350 0.0000 (multiplicity 4)
Ba 0.0000 0.2427 0.5000 (multiplicity 4)
Ba 0.2367 0.0073 0.2427 (multiplicity 8)
Pd 0.0000 0.0000 0.5000 (multiplicity 2)
Pd 0.2500 0.2500 0.2526 (multiplicity 4)
Rh 0.0000 0.0000 0.0000 (multiplicity 2)

=====

Entry 3:
The following is a calculated X-ray powder pattern of Ba8PdRh3. It was derived from DFT lattice parameters and positions (GGA-PBE), using Cu Kα.
Neutral-atom scattering factors, no anomalous dispersion.

Largest 12 diffraction maxima, in order of falling intensity, 2θ = 10–90°:
- d = 3.215 Å, I = 100, hkl 2 2 -2
- d = 2.297 Å, I = 60, hkl 2 2 2
- d = 7.247 Å, I = 53, hkl 2 0 -1
- d = 3.202 Å, I = 50, hkl 4 0 0
- d = 3.736 Å, I = 39, hkl 2 2 0
- d = 2.242 Å, I = 34, hkl 6 2 -2
- d = 1.868 Å, I = 31, hkl 4 4 0
- d = 1.450 Å, I = 21, hkl 2 6 -2
- d = 2.249 Å, I = 17, hkl 4 0 -4
- d = 3.914 Å, I = 17, hkl 2 0 1
- d = 2.451 Å, I = 13, hkl 4 2 -3
- d = 1.607 Å, I = 12, hkl 4 4 -4

Cell and atoms:
a b c (Å): 15.4093 9.1938 9.0001
angles (deg): 90.00 123.78 90.00
Space group C2/m (No. 12)
Inequivalent atoms, fractional coordinates:
Ba 0.0093 0.2431 0.2459 (multiplicity 8)
Ba 0.2435 0.0000 0.2581 (multiplicity 4)
Ba 0.2476 0.5000 0.2679 (multiplicity 4)
Pd 0.0000 0.5000 0.0000 (multiplicity 2)
Rh 0.0000 0.0000 0.0000 (multiplicity 2)
Rh 0.2500 0.2500 0.5000 (multiplicity 4)

=====

Entry 4:
The following is a calculated X-ray powder pattern of Ba3PdRh. It was derived from DFT lattice parameters and positions (GGA-PBE), using Cu Kα.
Neutral-atom scattering factors, no anomalous dispersion.

Largest 12 diffraction maxima, in order of falling intensity, 2θ = 10–90°:
- d = 3.228 Å, I = 100, hkl 2 0 1
- d = 3.098 Å, I = 85, hkl 2 1 0
- d = 3.434 Å, I = 82, hkl 1 1 1
- d = 2.935 Å, I = 81, hkl 2 1 -2
- d = 2.366 Å, I = 77, hkl 0 2 0
- d = 3.037 Å, I = 61, hkl 1 0 -3
- d = 3.267 Å, I = 59, hkl 1 1 -2
- d = 2.732 Å, I = 49, hkl 3 0 0
- d = 2.689 Å, I = 44, hkl 1 1 2
- d = 3.145 Å, I = 42, hkl 0 1 2
- d = 2.845 Å, I = 40, hkl 3 0 -2
- d = 2.556 Å, I = 37, hkl 1 1 -3

Cell and atoms:
a b c (Å): 8.8800 4.7314 9.1201
angles (deg): 90.00 112.61 90.00
Space group P2_1/m (No. 11)
Inequivalent atoms, fractional coordinates:
Ba 0.0904 0.2500 0.2284 (multiplicity 2)
Ba 0.3074 0.2500 0.9145 (multiplicity 2)
Ba 0.3582 0.7500 0.5859 (multiplicity 2)
Pd 0.3567 0.7500 0.1857 (multiplicity 2)
Rh 0.0357 0.2500 0.5478 (multiplicity 2)

=====

Entry 5:
The following is a calculated X-ray powder pattern of BaPdS. It was derived from DFT lattice parameters and positions (GGA-PBE), using Cu Kα.
Neutral-atom scattering factors, no anomalous dispersion.

Largest 12 diffraction maxima, in order of falling intensity, 2θ = 10–90°:
- d = 3.268 Å, I = 100, hkl 1 3 0
- d = 3.361 Å, I = 94, hkl 1 1 1
- d = 2.272 Å, I = 94, hkl 2 0 0
- d = 2.129 Å, I = 54, hkl 0 4 2
- d = 7.056 Å, I = 50, hkl 0 2 0
- d = 4.257 Å, I = 46, hkl 0 2 1
- d = 2.187 Å, I = 42, hkl 1 5 1
- d = 1.554 Å, I = 39, hkl 2 4 2
- d = 2.497 Å, I = 25, hkl 0 2 2
- d = 1.516 Å, I = 23, hkl 1 7 2
- d = 2.398 Å, I = 23, hkl 1 5 0
- d = 2.788 Å, I = 22, hkl 1 3 1

Cell and atoms:
a b c (Å): 4.5449 14.1112 5.3385
angles (deg): 90.00 90.00 90.00
Space group Cmc2_1 (No. 36)
Inequivalent atoms, fractional coordinates:
Ba 0.0000 0.1397 0.0000 (multiplicity 4)
Pd 0.0000 0.4994 0.7518 (multiplicity 4)
S 0.0000 0.3597 0.0027 (multiplicity 4)

=====

Entry 6:
The following is a calculated X-ray powder pattern of BaU2Pd2S6. It was derived from DFT lattice parameters and positions (GGA-PBE), using Cu Kα.
Neutral-atom scattering factors, no anomalous dispersion.

Largest 12 diffraction maxima, in order of falling intensity, 2θ = 10–90°:
- d = 2.991 Å, I = 100, hkl -1 2 1
- d = 5.993 Å, I = 68, hkl 1 -1 0
- d = 2.469 Å, I = 58, hkl 1 -2 2
- d = 5.728 Å, I = 45, hkl 1 0 -1
- d = 3.587 Å, I = 41, hkl 1 1 -1
- d = 3.630 Å, I = 35, hkl 1 0 -2
- d = 3.059 Å, I = 33, hkl 2 0 -1
- d = 2.098 Å, I = 33, hkl 0 0 3
- d = 3.296 Å, I = 31, hkl 0 1 -2
- d = 2.284 Å, I = 30, hkl -3 1 1
- d = 3.311 Å, I = 28, hkl 1 0 1
- d = 2.069 Å, I = 25, hkl 2 1 -3

Cell and atoms:
a b c (Å): 7.0526 7.1574 7.3244
angles (deg): 94.97 113.41 119.35
Space group P-1 (No. 2)
Inequivalent atoms, fractional coordinates:
Ba 0.0000 0.0000 0.0000 (multiplicity 1)
U 0.3335 0.3337 0.6682 (multiplicity 2)
Pd 0.1598 0.7206 0.6759 (multiplicity 2)
S 0.1491 0.9151 0.4290 (multiplicity 2)
S 0.2358 0.4645 0.3325 (multiplicity 2)
S 0.4653 0.7034 0.9530 (multiplicity 2)

=====

Entry 7:
The following is a calculated X-ray powder pattern of Ba2UPd2S6. It was derived from DFT lattice parameters and positions (GGA-PBE), using Cu Kα.
Neutral-atom scattering factors, no anomalous dispersion.

Largest 12 diffraction maxima, in order of falling intensity, 2θ = 10–90°:
- d = 3.699 Å, I = 100, hkl 3 1 -1
- d = 3.201 Å, I = 52, hkl 1 1 -2
- d = 3.397 Å, I = 41, hkl 0 2 0
- d = 3.757 Å, I = 35, hkl 1 1 1
- d = 1.850 Å, I = 31, hkl 6 2 -2
- d = 2.379 Å, I = 28, hkl 2 2 1
- d = 2.537 Å, I = 27, hkl 2 2 -2
- d = 2.205 Å, I = 25, hkl 6 0 -2
- d = 2.015 Å, I = 20, hkl 3 3 -1
- d = 2.092 Å, I = 17, hkl 5 1 0
- d = 3.167 Å, I = 15, hkl 0 0 2
- d = 2.748 Å, I = 13, hkl 4 0 0

Cell and atoms:
a b c (Å): 13.2365 6.7937 7.6295
angles (deg): 90.00 123.85 90.00
Space group C2/m (No. 12)
Inequivalent atoms, fractional coordinates:
Ba 0.2296 0.0000 0.2163 (multiplicity 4)
U 0.0000 0.0000 0.5000 (multiplicity 2)
Pd 0.0697 0.5000 0.2317 (multiplicity 4)
S 0.0598 0.2550 0.7921 (multiplicity 8)
S 0.2242 0.0000 0.6296 (multiplicity 4)

=====

Entry 8:
The following is a calculated X-ray powder pattern of BaPdW2S8. It was derived from DFT lattice parameters and positions (GGA-PBE), using Cu Kα.
Neutral-atom scattering factors, no anomalous dispersion.

Largest 12 diffraction maxima, in order of falling intensity, 2θ = 10–90°:
- d = 4.158 Å, I = 100, hkl 1 0 4
- d = 3.057 Å, I = 47, hkl 1 1 0
- d = 2.836 Å, I = 37, hkl 0 1 8
- d = 1.806 Å, I = 34, hkl 2 -1 12
- d = 2.463 Å, I = 28, hkl 0 2 4
- d = 1.918 Å, I = 26, hkl 2 1 4
- d = 1.765 Å, I = 21, hkl 3 0 0
- d = 1.719 Å, I = 17, hkl 1 2 8
- d = 2.079 Å, I = 15, hkl 2 0 8
- d = 4.927 Å, I = 11, hkl 0 1 2
- d = 1.262 Å, I = 10, hkl 2 2 12
- d = 2.893 Å, I = 10, hkl 2 -1 3

Cell and atoms:
a b c (Å): 6.1150 6.1150 26.8592
angles (deg): 90.00 90.00 120.00
Space group R-3 (No. 148, hexagonal axes)
Inequivalent atoms, fractional coordinates:
Ba 0.0000 0.0000 0.0000 (multiplicity 3)
Pd 0.0000 0.0000 0.5000 (multiplicity 3)
W 0.0000 0.0000 0.2477 (multiplicity 6)
S 0.0000 0.0000 0.3300 (multiplicity 6)
S 0.0058 0.3274 0.1124 (multiplicity 18)